This entry pairs a crystal structure of Na3InCl6 with its calculated XRD peak list. Radiation: λ = 1.5418 Å (Cu Kα). Structure: the PBE geometry in the Materials Project.

Atomic structure:
Cell lengths 7.0057, 7.0057, 12.5973 Å; angles 90.00, 90.00, 120.00 degrees
Space group P-31c (No. 163)
Inequivalent atoms, fractional coordinates:
Na (0.0000, 0.0000, 0.2500) (multiplicity 2)
Na (0.3333, 0.6667, 0.0411) (multiplicity 4)
In (0.3333, 0.6667, 0.7500) (multiplicity 2)
Cl (0.0479, 0.3653, 0.6292) (multiplicity 12)

Largest 10 diffraction maxima, in order of rising 2θ, 2θ = 5–70°:
2θ/deg	d (Å)	I/Imax
14.06	6.299	21
14.60	6.067	21
16.22	5.466	100
25.80	3.453	29
29.17	3.061	73
36.54	2.459	28
38.44	2.342	59
44.82	2.022	34
45.05	2.013	26
50.69	1.801	18